# CaVBr4
Calculated powder diffractogram, Cu Kα X-rays. Input: a cell relaxed with PBE.
Kinematic intensities with the Lorentz-polarization factor, no thermal factor.

Atomic structure:
Cell: 14.7851 4.0315 6.9672 Å, 90.00 109.62 90.00°
Element x y z (fractional)
Ca  0.0000  0.0000  0.0000
Ca  0.5000  0.5000  0.0000
V  0.0000  0.5000  0.5000
V  0.5000  0.0000  0.5000
Br  0.1064  0.0000  0.4346
Br  0.1128  0.5000  0.8888
Br  0.3872  0.0000  0.1112
Br  0.3936  0.5000  0.5654
Br  0.6064  0.5000  0.4346
Br  0.6128  0.0000  0.8888
Br  0.8872  0.5000  0.1112
Br  0.8936  0.0000  0.5654

The 10 most intense peaks (2θ = 15–90°), by intensity:
Position (°2θ), d/Å, I/Imax, h k l
29.5, 3.027, 100, 3 1 -1
45.4, 1.998, 59, 5 1 1
27.8, 3.207, 44, 1 1 1
33.9, 2.645, 40, 2 0 2
37.8, 2.378, 33, 5 1 -1
27.2, 3.281, 25, 0 0 2
25.6, 3.482, 23, 4 0 0
57.5, 1.603, 22, 2 2 2
45.0, 2.016, 19, 0 2 0
45.7, 1.986, 19, 1 1 -3